# CaTl3Ag
Computed powder diffractogram, λ = 1.5418 Å (Cu Kα). Input: the GGA-PBE geometry in Alexandria.

Principal peaks in the range 2θ from 10° to 90°, in order of falling intensity:
- 2θ = 30.51°, I = 100
- 2θ = 31.23°, I = 92
- 2θ = 39.69°, I = 75
- 2θ = 33.79°, I = 69
- 2θ = 37.14°, I = 53
- 2θ = 14.25°, I = 49
- 2θ = 34.01°, I = 45
- 2θ = 23.56°, I = 44
- 2θ = 42.26°, I = 44
- 2θ = 57.49°, I = 42
- 2θ = 11.00°, I = 30
- 2θ = 55.32°, I = 22

Atomic structure:
Unit cell a=10.5440 b=4.2769 c=12.4344 alpha=90.00 beta=90.00 gamma=90.00
Space group Pnma (No. 62)
Inequivalent atoms, fractional coordinates:
Ca 0.2017 0.2500 0.0106 (multiplicity 4)
Tl 0.0780 0.2500 0.4042 (multiplicity 4)
Tl 0.1155 0.7500 0.2037 (multiplicity 4)
Tl 0.1259 0.7500 0.8135 (multiplicity 4)
Ag 0.1165 0.2500 0.6401 (multiplicity 4)

***

# PH5Se4
Computed powder diffractogram, λ = 1.5418 Å (Cu Kα). Input: the GGA-PBE geometry in Alexandria.

Principal peaks in the range 2θ from 10° to 90°, in order of falling intensity:
- 2θ = 23.06°, I = 100
- 2θ = 26.37°, I = 65
- 2θ = 26.84°, I = 54
- 2θ = 34.91°, I = 51
- 2θ = 28.93°, I = 44
- 2θ = 27.76°, I = 42
- 2θ = 34.77°, I = 33
- 2θ = 31.71°, I = 27
- 2θ = 36.85°, I = 24
- 2θ = 44.98°, I = 22
- 2θ = 12.67°, I = 20
- 2θ = 51.54°, I = 20

Atomic structure:
Unit cell a=4.5432 b=5.5391 c=7.6375 alpha=70.37 beta=72.80 gamma=76.61
Space group P-1 (No. 2)
Inequivalent atoms, fractional coordinates:
P 0.0000 0.0000 0.0000 (multiplicity 1)
H 0.0000 0.5000 0.5000 (multiplicity 1)
H 0.2010 0.1207 0.0615 (multiplicity 2)
H 0.2881 0.4667 0.7263 (multiplicity 2)
Se 0.2194 0.2649 0.6568 (multiplicity 2)
Se 0.4832 0.7044 0.8778 (multiplicity 2)

***

# Ac2PrThN4
Computed powder diffractogram, λ = 1.5418 Å (Cu Kα). Input: the GGA-PBE geometry in Alexandria.

Principal peaks in the range 2θ from 10° to 90°, in order of falling intensity:
- 2θ = 28.95°, I = 100
- 2θ = 33.47°, I = 91
- 2θ = 28.66°, I = 34
- 2θ = 47.87°, I = 33
- 2θ = 48.28°, I = 22
- 2θ = 57.05°, I = 22
- 2θ = 57.16°, I = 21
- 2θ = 59.99°, I = 17
- 2θ = 56.73°, I = 11
- 2θ = 48.17°, I = 11
- 2θ = 79.84°, I = 10
- 2θ = 78.11°, I = 9

Atomic structure:
Unit cell a=6.5259 b=3.7781 c=6.5967 alpha=90.00 beta=109.21 gamma=90.00
Space group P2/m (No. 10)
Inequivalent atoms, fractional coordinates:
Ac 0.0000 0.0000 0.0000 (multiplicity 1)
Ac 0.5000 0.5000 0.0000 (multiplicity 1)
Pr 0.0000 0.5000 0.5000 (multiplicity 1)
Th 0.5000 0.0000 0.5000 (multiplicity 1)
N 0.2546 0.0000 0.7297 (multiplicity 2)
N 0.2679 0.5000 0.2763 (multiplicity 2)